No. 1
The following is a theoretical XRD peak list of AcGa3Au4O12. It was derived from a DFT-relaxed cell (GGA-PBE, Alexandria), using Cu Kα (weighted mean of Kα1 and Kα2).

```
AcGa3Au4O12
1.0
5.445 3.144 2.703
-5.445 3.144 2.703
0.000 -6.287 2.703
Ac Ga Au O
1 3 4 12
Direct
0.000 0.000 0.000
0.000 0.583 0.417
0.417 0.000 0.583
0.583 0.417 0.000
0.109 0.500 0.891
0.500 0.500 0.500
0.500 0.891 0.109
0.891 0.109 0.500
0.024 0.284 0.348
0.089 0.911 0.500
0.284 0.348 0.024
0.311 0.689 0.500
0.348 0.024 0.284
0.500 0.089 0.911
0.500 0.311 0.689
0.652 0.716 0.976
0.689 0.500 0.311
0.716 0.976 0.652
0.911 0.500 0.089
0.976 0.652 0.716
```

The 12 most intense peaks (2θ = 10–90°), by intensity:
| two_theta | I/Imax |
| --- | --- |
| 28.39 | 100 |
| 29.04 | 99 |
| 47.64 | 51 |
| 37.13 | 48 |
| 36.08 | 42 |
| 27.33 | 41 |
| 53.59 | 41 |
| 16.28 | 37 |
| 33.47 | 34 |
| 62.81 | 23 |
| 61.39 | 23 |
| 48.90 | 23 |


No. 2
The following is a theoretical XRD peak list of Cs3ZnCd2F9. It was derived from a DFT-relaxed cell (GGA-PBE, Alexandria), using Cu Kα (weighted mean of Kα1 and Kα2).

```
Cs3ZnCd2F9
1.0
6.304 0.000 0.000
-3.152 5.459 0.000
0.000 0.000 7.731
Cs Zn Cd F
3 1 2 9
Direct
0.000 0.000 0.000
0.333 0.667 0.667
0.667 0.333 0.333
0.000 0.000 0.500
0.333 0.667 0.177
0.667 0.333 0.823
0.000 0.500 0.000
0.158 0.317 0.344
0.158 0.842 0.344
0.317 0.158 0.656
0.500 0.000 0.000
0.500 0.500 0.000
0.683 0.842 0.344
0.842 0.158 0.656
0.842 0.683 0.656
```

The 12 most intense peaks (2θ = 10–90°), by intensity:
| two_theta | I/Imax |
| --- | --- |
| 28.30 | 100 |
| 50.10 | 41 |
| 40.45 | 35 |
| 58.54 | 22 |
| 66.28 | 18 |
| 80.64 | 10 |
| 80.57 | 10 |
| 34.85 | 7 |
| 73.60 | 5 |
| 87.50 | 3 |
| 69.97 | 2 |
| 73.49 | 2 |